[1]
The following is a simulated powder X-ray diffraction pattern of AcSeCl6. It was derived from a PBE-relaxed structure, using a wavelength of 1.5418 Å.
Peak positions follow from Bragg's law for the DFT cell and can differ from measured ones.

Structure:
Lattice parameters (Å, degrees): 6.4976 6.6799 7.1450 90.03 114.89 113.96
Sites, in units of the cell vectors:
Ac 0.0000 0.0000 0.0000
Se 0.0000 0.5000 0.5000
Cl 0.1570 0.4354 0.2645
Cl 0.1808 0.2812 0.7244
Cl 0.4958 0.9145 0.7530
Cl 0.5042 0.0855 0.2470
Cl 0.8192 0.7188 0.2756
Cl 0.8430 0.5646 0.7355

Top 6 peaks for 2θ = 15–90°, in order of falling intensity:
Position (°2θ)	d/Å	intensity
16.82	5.270	100
18.18	4.880	88
18.57	4.779	79
30.32	2.948	70
22.46	3.958	57
25.24	3.528	43

[2]
The following is a simulated powder X-ray diffraction pattern of Ac4Si2SeCl. It was derived from a PBE-relaxed structure, using a wavelength of 1.5418 Å.
Peak positions follow from Bragg's law for the DFT cell and can differ from measured ones.

Structure:
Lattice parameters (Å, degrees): 7.7654 7.7654 7.7654 131.58 131.58 70.89
Sites, in units of the cell vectors:
Ac 0.0000 0.5000 0.5000
Ac 0.2469 0.2469 0.0000
Ac 0.5000 0.0000 0.5000
Ac 0.7531 0.7531 0.0000
Si 0.2500 0.7500 0.5000
Si 0.7500 0.2500 0.5000
Se 0.0000 0.0000 0.0000
Cl 0.5000 0.5000 0.0000

Top 6 peaks for 2θ = 15–90°, in order of falling intensity:
Position (°2θ)	d/Å	intensity
24.26	3.669	100
28.02	3.184	80
40.18	2.244	61
28.21	3.163	39
47.37	1.919	36
49.70	1.834	34

[3]
The following is a simulated powder X-ray diffraction pattern of Ac6Si2SnCl3. It was derived from a PBE-relaxed structure, using a wavelength of 1.5418 Å.
Peak positions follow from Bragg's law for the DFT cell and can differ from measured ones.

Structure:
Lattice parameters (Å, degrees): 10.0458 10.0458 8.9217 98.98 98.98 26.71
Sites, in units of the cell vectors:
Ac 0.0078 0.0078 0.2585
Ac 0.3285 0.3285 0.4247
Ac 0.3304 0.3304 0.8944
Ac 0.6696 0.6696 0.1056
Ac 0.6715 0.6715 0.5753
Ac 0.9922 0.9922 0.7415
Si 0.1680 0.1680 0.3379
Si 0.8320 0.8320 0.6621
Sn 0.5000 0.5000 0.0000
Cl 0.1650 0.1650 0.8350
Cl 0.5000 0.5000 0.5000
Cl 0.8350 0.8350 0.1650

Top 6 peaks for 2θ = 15–90°, in order of falling intensity:
Position (°2θ)	d/Å	intensity
27.76	3.213	100
23.64	3.763	40
38.63	2.331	27
40.67	2.218	24
48.37	1.882	23
23.52	3.783	19

[4]
The following is a simulated powder X-ray diffraction pattern of Ac2SnCl2. It was derived from a PBE-relaxed structure, using a wavelength of 1.5418 Å.
Peak positions follow from Bragg's law for the DFT cell and can differ from measured ones.

Structure:
Lattice parameters (Å, degrees): 4.8892 4.8892 8.2736 90.00 90.00 120.00
Sites, in units of the cell vectors:
Ac 0.3333 0.6667 0.2215
Ac 0.6667 0.3333 0.7785
Sn 0.0000 0.0000 0.0000
Cl 0.3333 0.6667 0.6161
Cl 0.6667 0.3333 0.3839

Top 6 peaks for 2θ = 15–90°, in order of falling intensity:
Position (°2θ)	d/Å	intensity
23.60	3.769	100
30.20	2.959	64
36.76	2.445	53
38.98	2.311	43
44.16	2.051	20
58.77	1.571	18

[5]
The following is a simulated powder X-ray diffraction pattern of Ac4Te6Cl. It was derived from a PBE-relaxed structure, using a wavelength of 1.5418 Å.
Peak positions follow from Bragg's law for the DFT cell and can differ from measured ones.

Structure:
Lattice parameters (Å, degrees): 10.1170 10.1170 4.5981 90.00 90.00 120.00
Sites, in units of the cell vectors:
Ac 0.0000 0.0000 0.0000
Ac 0.0153 0.5076 0.5000
Ac 0.4924 0.5076 0.5000
Ac 0.4924 0.9847 0.5000
Te 0.2073 0.4146 0.0000
Te 0.2073 0.7927 0.0000
Te 0.2786 0.1393 0.5000
Te 0.5854 0.7927 0.0000
Te 0.8607 0.1393 0.5000
Te 0.8607 0.7214 0.5000
Cl 0.6667 0.3333 0.0000

Top 6 peaks for 2θ = 15–90°, in order of falling intensity:
Position (°2θ)	d/Å	intensity
33.34	2.687	100
28.13	3.172	72
35.49	2.529	64
20.27	4.381	45
26.19	3.402	44
53.89	1.701	39

[6]
The following is a simulated powder X-ray diffraction pattern of Ac2TlCl. It was derived from a PBE-relaxed structure, using a wavelength of 1.5418 Å.
Peak positions follow from Bragg's law for the DFT cell and can differ from measured ones.

Structure:
Lattice parameters (Å, degrees): 7.3293 7.3293 7.3293 38.95 38.95 38.95
Sites, in units of the cell vectors:
Ac 0.2474 0.2474 0.2474
Ac 0.7526 0.7526 0.7526
Tl 0.0000 0.0000 0.0000
Cl 0.5000 0.5000 0.5000

Top 6 peaks for 2θ = 15–90°, in order of falling intensity:
Position (°2θ)	d/Å	intensity
27.44	3.250	100
36.78	2.444	47
41.50	2.176	33
46.50	1.953	24
60.70	1.526	22
67.34	1.391	16

[7]
The following is a simulated powder X-ray diffraction pattern of Ac8Co5. It was derived from a PBE-relaxed structure, using a wavelength of 1.5418 Å.
Peak positions follow from Bragg's law for the DFT cell and can differ from measured ones.

Structure:
Lattice parameters (Å, degrees): 7.8102 7.8102 9.8431 123.95 123.95 65.61
Sites, in units of the cell vectors:
Ac 0.1976 0.7074 0.6650
Ac 0.2069 0.2069 0.1672
Ac 0.2926 0.8024 0.3350
Ac 0.3056 0.3056 0.8299
Ac 0.6944 0.6944 0.1701
Ac 0.7074 0.1976 0.6650
Ac 0.7931 0.7931 0.8328
Ac 0.8024 0.2926 0.3350
Co 0.2490 0.7510 0.0000
Co 0.2721 0.2721 0.5025
Co 0.5000 0.5000 0.5000
Co 0.7279 0.7279 0.4975
Co 0.7510 0.2490 0.0000

Top 6 peaks for 2θ = 15–90°, in order of falling intensity:
Position (°2θ)	d/Å	intensity
27.83	3.206	100
27.88	3.200	40
42.62	2.121	28
36.70	2.449	24
27.17	3.282	22
36.77	2.444	18

[8]
The following is a simulated powder X-ray diffraction pattern of Ac4Co. It was derived from a PBE-relaxed structure, using a wavelength of 1.5418 Å.
Peak positions follow from Bragg's law for the DFT cell and can differ from measured ones.

Structure:
Lattice parameters (Å, degrees): 8.1852 8.1852 6.7850 90.00 90.00 120.30
Sites, in units of the cell vectors:
Ac 0.1682 0.3318 0.7500
Ac 0.1695 0.8305 0.7772
Ac 0.3305 0.6695 0.2772
Ac 0.3318 0.1682 0.2500
Ac 0.6682 0.8318 0.7500
Ac 0.6695 0.3305 0.7228
Ac 0.8305 0.1695 0.2228
Ac 0.8318 0.6682 0.2500
Co 0.0000 0.0000 0.0000
Co 0.5000 0.5000 0.5000

Top 6 peaks for 2θ = 15–90°, in order of falling intensity:
Position (°2θ)	d/Å	intensity
28.48	3.134	100
28.38	3.145	55
47.72	1.906	35
26.27	3.392	35
36.70	2.449	34
44.26	2.046	25

[9]
The following is a simulated powder X-ray diffraction pattern of Ac3Co4. It was derived from a PBE-relaxed structure, using a wavelength of 1.5418 Å.
Peak positions follow from Bragg's law for the DFT cell and can differ from measured ones.

Structure:
Lattice parameters (Å, degrees): 10.0680 10.0680 10.0680 156.81 155.21 34.20
Sites, in units of the cell vectors:
Ac 0.0000 0.0000 0.0000
Ac 0.1769 0.6769 0.5000
Ac 0.8231 0.3231 0.5000
Co 0.3814 0.8814 0.5000
Co 0.4374 0.4374 0.0000
Co 0.5626 0.5626 0.0000
Co 0.6186 0.1186 0.5000

Top 6 peaks for 2θ = 15–90°, in order of falling intensity:
Position (°2θ)	d/Å	intensity
31.68	2.824	100
31.12	2.874	81
26.03	3.423	71
35.66	2.517	48
48.13	1.891	33
55.54	1.655	32

[10]
The following is a simulated powder X-ray diffraction pattern of Ac2Co17. It was derived from a PBE-relaxed structure, using a wavelength of 1.5418 Å.
Peak positions follow from Bragg's law for the DFT cell and can differ from measured ones.

Structure:
Lattice parameters (Å, degrees): 6.4085 6.4085 6.4085 83.13 83.13 83.13
Sites, in units of the cell vectors:
Ac 0.1549 0.1549 0.1549
Ac 0.8451 0.8451 0.8451
Co 0.0000 0.5000 0.5000
Co 0.1616 0.1616 0.6464
Co 0.1616 0.6464 0.1616
Co 0.2218 0.5000 0.7782
Co 0.2218 0.7782 0.5000
Co 0.3536 0.8384 0.8384
Co 0.4052 0.4052 0.4052
Co 0.5000 0.0000 0.5000
Co 0.5000 0.2218 0.7782
Co 0.5000 0.5000 0.0000
Co 0.5000 0.7782 0.2218
Co 0.5948 0.5948 0.5948
Co 0.6464 0.1616 0.1616
Co 0.7782 0.2218 0.5000
Co 0.7782 0.5000 0.2218
Co 0.8384 0.3536 0.8384
Co 0.8384 0.8384 0.3536

Top 6 peaks for 2θ = 15–90°, in order of falling intensity:
Position (°2θ)	d/Å	intensity
42.89	2.109	100
42.52	2.126	70
30.21	2.958	67
36.61	2.455	44
38.02	2.367	35
43.97	2.059	31

[11]
The following is a simulated powder X-ray diffraction pattern of Ac8Co4Cu. It was derived from a PBE-relaxed structure, using a wavelength of 1.5418 Å.
Peak positions follow from Bragg's law for the DFT cell and can differ from measured ones.

Structure:
Lattice parameters (Å, degrees): 10.4422 10.4422 14.4620 133.69 133.69 23.64
Sites, in units of the cell vectors:
Ac 0.0000 0.0000 0.0000
Ac 0.0139 0.0139 0.7420
Ac 0.0415 0.0415 0.3687
Ac 0.3110 0.3110 0.6524
Ac 0.3975 0.3975 0.4216
Ac 0.6661 0.6661 0.7017
Ac 0.6869 0.6869 0.3254
Ac 0.7088 0.7088 0.0790
Co 0.0294 0.0294 0.5631
Co 0.2043 0.2043 0.2098
Co 0.5055 0.5055 0.8635
Co 0.6829 0.6829 0.5185
Cu 0.4666 0.4666 0.1373

Top 6 peaks for 2θ = 15–90°, in order of falling intensity:
Position (°2θ)	d/Å	intensity
27.87	3.201	100
45.38	1.998	35
26.13	3.411	27
27.57	3.236	23
33.01	2.714	19
31.52	2.838	19

[12]
The following is a simulated powder X-ray diffraction pattern of AcErCo4. It was derived from a PBE-relaxed structure, using a wavelength of 1.5418 Å.
Peak positions follow from Bragg's law for the DFT cell and can differ from measured ones.

Structure:
Lattice parameters (Å, degrees): 5.1917 5.1917 5.1917 60.00 60.00 60.00
Sites, in units of the cell vectors:
Ac 0.0000 0.0000 0.0000
Er 0.7500 0.7500 0.7500
Co 0.3762 0.3762 0.3762
Co 0.3762 0.3762 0.8714
Co 0.3762 0.8714 0.3762
Co 0.8714 0.3762 0.3762

Top 6 peaks for 2θ = 15–90°, in order of falling intensity:
Position (°2θ)	d/Å	intensity
40.76	2.214	100
34.55	2.596	74
66.13	1.413	31
61.91	1.499	28
20.96	4.239	25
72.88	1.298	22

Which formula does entry 1 have?
AcSeCl6